# 1
Calculated powder XRD pattern of KEuSn2O6 for Cu Kα (λ = 1.5418 Å), from DFT lattice parameters and positions (GGA-PBE).
Neutral-atom scattering factors, no anomalous dispersion.

Crystal structure
Cell lengths 8.1995, 8.1995, 8.1995 Å; angles 90.00, 90.00, 90.00 degrees
Space group Fm-3m (No. 225)
Asymmetric unit:
K 0.0000 0.0000 0.0000 (multiplicity 4)
Eu 0.0000 0.0000 0.5000 (multiplicity 4)
Sn 0.2500 0.2500 0.2500 (multiplicity 8)
O 0.0000 0.2500 0.2500 (multiplicity 24)

Main lines, low angle first (10° ≤ 2θ ≤ 90°):
- d 4.734, 18.74 deg, I = 16, (1 1 1)
- d 4.100, 21.68 deg, I = 5, (2 0 0)
- d 2.899, 30.84 deg, I = 100, (2 2 0)
- d 2.472, 36.34 deg, I = 10, (3 1 1)
- d 2.050, 44.18 deg, I = 32, (4 0 0)
- d 1.674, 54.85 deg, I = 41, (4 2 2)
- d 1.449, 64.26 deg, I = 20, (4 4 0)
- d 1.296, 72.97 deg, I = 18, (6 2 0)
- d 1.183, 81.29 deg, I = 7, (4 4 4)
- d 1.096, 89.43 deg, I = 23, (6 4 2)

=====

# 2
Calculated powder XRD pattern of Na2La2MgTi3O10 for Cu Kα (λ = 1.5418 Å), from DFT lattice parameters and positions (GGA-PBE).
Neutral-atom scattering factors, no anomalous dispersion.

Crystal structure
Cell lengths 3.9227, 3.9227, 31.7990 Å; angles 90.00, 90.00, 90.00 degrees
Space group I4/mmm (No. 139)
Asymmetric unit:
Na 0.0000 0.0000 0.2157 (multiplicity 4)
La 0.0000 0.0000 0.0961 (multiplicity 4)
Mg 0.0000 0.0000 0.0000 (multiplicity 2)
Ti 0.0000 0.0000 0.3431 (multiplicity 4)
Ti 0.0000 0.0000 0.5000 (multiplicity 2)
O 0.0000 0.0000 0.2879 (multiplicity 4)
O 0.0000 0.0000 0.4316 (multiplicity 4)
O 0.0000 0.5000 0.0000 (multiplicity 4)
O 0.0000 0.5000 0.1418 (multiplicity 8)

Main lines, low angle first (10° ≤ 2θ ≤ 90°):
- d 7.950, 11.13 deg, I = 74, (0 0 4)
- d 3.893, 22.84 deg, I = 25, (1 0 1)
- d 3.339, 26.70 deg, I = 100, (1 0 5)
- d 2.969, 30.10 deg, I = 40, (1 0 7)
- d 2.774, 32.27 deg, I = 79, (1 1 0)
- d 2.624, 34.17 deg, I = 62, (1 0 9)
- d 2.327, 38.69 deg, I = 25, (1 0 11)
- d 2.090, 43.28 deg, I = 33, (1 1 10)
- d 1.961, 46.29 deg, I = 56, (2 0 0)
- d 1.691, 54.26 deg, I = 32, (2 1 5)

=====

# 3
Calculated powder XRD pattern of Er2Al5Ni5 for Cu Kα (λ = 1.5418 Å), from DFT lattice parameters and positions (GGA-PBE).
Neutral-atom scattering factors, no anomalous dispersion.

Crystal structure
Cell lengths 8.7669, 4.0163, 15.2622 Å; angles 90.00, 90.07, 90.00 degrees
Space group Pm (No. 6)
Asymmetric unit:
Er 0.0000 0.0000 0.0000 (multiplicity 1)
Er 0.0013 0.0000 0.6655 (multiplicity 1)
Er 0.4905 0.5000 0.8342 (multiplicity 1)
Er 0.4968 0.0000 0.4986 (multiplicity 1)
Er 0.4990 0.0000 0.1708 (multiplicity 1)
Er 0.9940 0.5000 0.3382 (multiplicity 1)
Al 0.0040 0.5000 0.8345 (multiplicity 1)
Al 0.1462 0.0000 0.1862 (multiplicity 1)
Al 0.2445 0.5000 0.5797 (multiplicity 1)
Al 0.2491 0.5000 0.0868 (multiplicity 1)
Al 0.2793 0.0000 0.3410 (multiplicity 1)
Al 0.3451 0.0000 0.6935 (multiplicity 1)
Al 0.3458 0.0000 0.9763 (multiplicity 1)
Al 0.5050 0.5000 0.3338 (multiplicity 1)
Al 0.6447 0.0000 0.6857 (multiplicity 1)
Al 0.6447 0.0000 0.9837 (multiplicity 1)
Al 0.7450 0.5000 0.5866 (multiplicity 1)
Al 0.7495 0.5000 0.0837 (multiplicity 1)
Al 0.7956 0.0000 0.8340 (multiplicity 1)
Al 0.8465 0.0000 0.1950 (multiplicity 1)
Al 0.8560 0.0000 0.4752 (multiplicity 1)
Ni 0.1466 0.0000 0.4864 (multiplicity 1)
Ni 0.1930 0.0000 0.8344 (multiplicity 1)
Ni 0.2203 0.5000 0.7392 (multiplicity 1)
Ni 0.2230 0.5000 0.9280 (multiplicity 1)
Ni 0.2710 0.5000 0.2469 (multiplicity 1)
Ni 0.2773 0.5000 0.4247 (multiplicity 1)
Ni 0.4919 0.5000 0.6515 (multiplicity 1)
Ni 0.4957 0.5000 0.0171 (multiplicity 1)
Ni 0.6942 0.0000 0.3362 (multiplicity 1)
Ni 0.7220 0.5000 0.4296 (multiplicity 1)
Ni 0.7244 0.5000 0.2425 (multiplicity 1)
Ni 0.7712 0.5000 0.7445 (multiplicity 1)
Ni 0.7718 0.5000 0.9246 (multiplicity 1)
Ni 0.9923 0.5000 0.5190 (multiplicity 1)
Ni 0.9963 0.5000 0.1552 (multiplicity 1)

Main lines, low angle first (10° ≤ 2θ ≤ 90°):
- d 4.395, 20.20 deg, I = 47, (1 0 -3)
- d 3.552, 25.07 deg, I = 81, (1 1 1)
- d 2.762, 32.41 deg, I = 36, (2 1 2)
- d 2.534, 35.42 deg, I = 33, (3 0 -3)
- d 2.341, 38.46 deg, I = 100, (2 1 -4)
- d 2.335, 38.55 deg, I = 43, (3 1 1)
- d 2.200, 41.02 deg, I = 57, (2 0 6)
- d 2.192, 41.19 deg, I = 30, (4 0 0)
- d 2.143, 42.17 deg, I = 43, (3 1 3)
- d 2.008, 45.15 deg, I = 46, (0 2 0)

=====

# 4
Calculated powder XRD pattern of PrAlPd2 for Cu Kα (λ = 1.5418 Å), from DFT lattice parameters and positions (GGA-PBE).
Neutral-atom scattering factors, no anomalous dispersion.

Crystal structure
Cell lengths 7.6054, 7.0976, 5.9237 Å; angles 90.00, 90.00, 90.00 degrees
Space group Pnma (No. 62)
Asymmetric unit:
Pr 0.0321 0.2500 0.1534 (multiplicity 4)
Al 0.1188 0.7500 0.3466 (multiplicity 4)
Pd 0.1764 0.0534 0.5879 (multiplicity 8)

Main lines, low angle first (10° ≤ 2θ ≤ 90°):
- d 2.917, 30.65 deg, I = 74, (2 1 1)
- d 2.826, 31.66 deg, I = 72, (1 2 1)
- d 2.760, 32.44 deg, I = 65, (1 0 2)
- d 2.595, 34.57 deg, I = 90, (2 2 0)
- d 2.572, 34.88 deg, I = 100, (1 1 2)
- d 2.377, 37.86 deg, I = 49, (2 2 1)
- d 2.331, 38.63 deg, I = 80, (3 0 1)
- d 2.197, 41.08 deg, I = 37, (0 3 1)
- d 2.111, 42.84 deg, I = 49, (1 3 1)
- d 1.494, 62.15 deg, I = 39, (3 3 2)

=====

# 5
Calculated powder XRD pattern of SrCaTbBiO6 for Cu Kα (λ = 1.5418 Å), from DFT lattice parameters and positions (GGA-PBE).
Neutral-atom scattering factors, no anomalous dispersion.

Crystal structure
Cell lengths 8.4802, 8.4895, 8.4908 Å; angles 90.00, 90.00, 90.00 degrees
Space group P222 (No. 16)
Asymmetric unit:
Sr 0.0000 0.0000 0.0000 (multiplicity 1)
Sr 0.0000 0.0000 0.5000 (multiplicity 1)
Sr 0.5000 0.0000 0.0000 (multiplicity 1)
Sr 0.5000 0.5000 0.5000 (multiplicity 1)
Ca 0.0000 0.5000 0.0000 (multiplicity 1)
Ca 0.0000 0.5000 0.5000 (multiplicity 1)
Ca 0.5000 0.0000 0.5000 (multiplicity 1)
Ca 0.5000 0.5000 0.0000 (multiplicity 1)
Tb 0.2497 0.2522 0.2500 (multiplicity 4)
Bi 0.2497 0.2525 0.7498 (multiplicity 4)
O 0.0072 0.2150 0.8003 (multiplicity 4)
O 0.1939 0.4929 0.7039 (multiplicity 4)
O 0.2157 0.2022 0.5068 (multiplicity 4)
O 0.2936 0.3079 0.9920 (multiplicity 4)
O 0.2948 0.0076 0.7868 (multiplicity 4)
O 0.4932 0.2868 0.7029 (multiplicity 4)

Main lines, low angle first (10° ≤ 2θ ≤ 90°):
- d 4.243, 20.93 deg, I = 36, (2 0 0)
- d 3.001, 29.78 deg, I = 100, (0 2 2)
- d 2.122, 42.61 deg, I = 27, (4 0 0)
- d 1.898, 47.94 deg, I = 17, (0 4 2)
- d 1.732, 52.85 deg, I = 46, (4 2 2)
- d 1.500, 61.84 deg, I = 16, (4 0 4)
- d 1.414, 66.05 deg, I = 8, (4 4 2)
- d 1.342, 70.13 deg, I = 18, (0 6 2)
- d 1.225, 78.00 deg, I = 5, (4 4 4)
- d 1.134, 85.65 deg, I = 23, (4 6 2)

=====

# 6
Calculated powder XRD pattern of UGe12Pt4 for Cu Kα (λ = 1.5418 Å), from DFT lattice parameters and positions (GGA-PBE).
Neutral-atom scattering factors, no anomalous dispersion.

Crystal structure
Cell lengths 8.7118, 8.7118, 8.7118 Å; angles 90.00, 90.00, 90.00 degrees
Space group Im-3 (No. 204)
Asymmetric unit:
U 0.0000 0.0000 0.0000 (multiplicity 2)
Ge 0.0000 0.3519 0.1505 (multiplicity 24)
Pt 0.2500 0.2500 0.2500 (multiplicity 8)

Main lines, low angle first (10° ≤ 2θ ≤ 90°):
- d 4.356, 20.39 deg, I = 29, (2 0 0)
- d 3.080, 28.99 deg, I = 100, (2 2 0)
- d 2.755, 32.50 deg, I = 80, (3 0 1)
- d 2.328, 38.67 deg, I = 47, (3 1 2)
- d 2.178, 41.46 deg, I = 18, (4 0 0)
- d 1.948, 46.63 deg, I = 50, (4 0 2)
- d 1.778, 51.38 deg, I = 81, (4 2 2)
- d 1.709, 53.64 deg, I = 36, (4 3 1)
- d 1.377, 68.07 deg, I = 30, (6 2 0)
- d 1.164, 82.94 deg, I = 21, (6 4 2)

=====

# 7
Calculated powder XRD pattern of In2Ag for Cu Kα (λ = 1.5418 Å), from DFT lattice parameters and positions (GGA-PBE).
Neutral-atom scattering factors, no anomalous dispersion.

Crystal structure
Cell lengths 7.4992, 7.4992, 5.4912 Å; angles 90.00, 90.00, 90.00 degrees
Space group I4/mcm (No. 140)
Asymmetric unit:
In 0.1490 0.3510 0.0000 (multiplicity 8)
Ag 0.0000 0.0000 0.0000 (multiplicity 4)

Main lines, low angle first (10° ≤ 2θ ≤ 90°):
- d 2.862, 31.25 deg, I = 100, (2 1 1)
- d 2.746, 32.61 deg, I = 41, (0 0 2)
- d 2.651, 33.81 deg, I = 11, (2 2 0)
- d 2.371, 37.94 deg, I = 54, (3 1 0)
- d 1.795, 50.88 deg, I = 45, (3 1 2)
- d 1.677, 54.74 deg, I = 9, (4 2 0)
- d 1.607, 57.35 deg, I = 17, (2 1 3)
- d 1.431, 65.19 deg, I = 10, (4 2 2)
- d 1.350, 69.66 deg, I = 14, (5 2 1)
- d 1.188, 80.91 deg, I = 11, (3 1 4)